Calculated X-ray powder pattern of RbMgCo2Cl8 for a wavelength of 1.5418 Å, from DFT lattice parameters and positions (PBE).
Kinematic intensities with the Lorentz-polarization factor, no thermal factor.

Main lines, by angle (10 to 90 degrees two-theta):
(1 0 4), d 4.347, 2θ = 20.43°, I 100; (1 1 0), d 3.174, 2θ = 28.11°, I 36; (0 0 9), d 3.154, 2θ = 28.29°, I 42; (1 1 3), d 3.010, 2θ = 29.68°, I 84; (0 1 8), d 2.982, 2θ = 29.97°, I 17; (2 -1 6), d 2.636, 2θ = 34.01°, I 40; (0 2 4), d 2.564, 2θ = 35.00°, I 22; (3 -1 4), d 1.994, 2θ = 45.48°, I 22; (1 1 12), d 1.897, 2θ = 47.96°, I 46; (3 0 0), d 1.833, 2θ = 49.75°, I 43; (3 0 9), d 1.585, 2θ = 58.22°, I 26; (0 2 16), d 1.491, 2θ = 62.27°, I 14

Crystal structure
```
data_RbMgCo2Cl8
_symmetry_space_group_name_H-M 'R -3'
_symmetry_Int_Tables_number 148
_symmetry_space_group_name_Hall '-R 3'
_cell_length_a 6.3488
_cell_length_b 6.3488
_cell_length_c 28.3902
_cell_angle_alpha 90.00
_cell_angle_beta 90.00
_cell_angle_gamma 120.00
loop_
_atom_site_label
_atom_site_type_symbol
_atom_site_fract_x
_atom_site_fract_y
_atom_site_fract_z
Rb1 Rb 0.0000 0.0000 0.0000
Mg1 Mg 0.0000 0.0000 0.5000
Co1 Co 0.0000 0.0000 0.2425
Cl1 Cl 0.0000 0.0000 0.3194
Cl2 Cl 0.0033 0.6784 0.4472
```